Computed X-ray diffraction stick pattern of CsLiNiF4 for Cu Kα, 1.54184 Å, from DFT lattice parameters and positions (GGA+U).
Kinematic intensities with the Lorentz-polarization factor, no thermal factor.

Lattice parameters (Å, degrees): 5.540 5.587 7.197 90.00 93.36 90.00
Sites, in units of the cell vectors:
Cs  0.229  0.250  0.080
Cs  0.771  0.750  0.920
Li  0.354  0.250  0.645
Li  0.646  0.750  0.355
Ni  0.176  0.750  0.477
Ni  0.824  0.250  0.523
F  0.107  0.010  0.665
F  0.107  0.490  0.665
F  0.338  0.750  0.222
F  0.489  0.250  0.420
F  0.511  0.750  0.580
F  0.662  0.250  0.778
F  0.893  0.510  0.335
F  0.893  0.990  0.335

The 10 most intense peaks (2θ = 15–90°), most intense first:
2θ = 26.29°, d 3.389, intensity 100.0, hkl 1 1 1
2θ = 25.37°, d 3.510, intensity 96.2, hkl 1 1 -1
2θ = 32.04°, d 2.794, intensity 42.5, hkl 0 2 0
2θ = 40.96°, d 2.203, intensity 40.4, hkl 0 2 2
2θ = 29.56°, d 3.022, intensity 32.6, hkl 0 1 2
2θ = 53.74°, d 1.706, intensity 32.0, hkl 1 2 3
2θ = 28.83°, d 3.097, intensity 29.3, hkl 1 0 -2
2θ = 45.54°, d 1.992, intensity 25.2, hkl 2 1 2
2θ = 32.37°, d 2.765, intensity 21.7, hkl 2 0 0
2θ = 24.79°, d 3.592, intensity 21.6, hkl 0 0 2